(1)
Diffraction record for Fe3AgO. The powder XRD pattern is computed, not measured: it uses a DFT-relaxed cell (GGA+U, Alexandria) and copper Kα.

Cell: 4.944 4.944 4.944 Å, 90.00 90.00 90.00°
Fractional coordinates of all 5 atoms:
Fe 0.000 0.000 0.500
Fe 0.000 0.500 0.000
Fe 0.500 0.000 0.000
Ag 0.000 0.000 0.000
O 0.500 0.500 0.500

Main lines, low angle first (2θ from 10° to 90°):
| 2theta | Rel. int. |
| --- | --- |
| 17.94 | 100 |
| 25.48 | 18 |
| 36.34 | 66 |
| 40.81 | 49 |
| 52.34 | 43 |
| 55.79 | 24 |
| 65.39 | 14 |
| 88.43 | 18 |


(2)
Diffraction record for Pa2FeAgO8. The powder XRD pattern is computed, not measured: it uses a DFT-relaxed cell (GGA+U, Alexandria) and copper Kα.

Cell: 6.664 6.664 6.664 Å, 132.72 132.72 69.10°
Fractional coordinates of all 12 atoms:
Pa 0.000 0.000 0.000
Pa 0.750 0.250 0.500
Fe 0.500 0.500 0.000
Ag 0.250 0.750 0.500
O 0.029 0.024 0.382
O 0.157 0.603 0.919
O 0.353 0.971 0.994
O 0.397 0.316 0.554
O 0.642 0.647 0.618
O 0.684 0.238 0.081
O 0.762 0.843 0.446
O 0.976 0.358 0.006

Main lines, low angle first (2θ from 10° to 90°):
| 2theta | Rel. int. |
| --- | --- |
| 18.46 | 31 |
| 28.68 | 100 |
| 32.63 | 15 |
| 33.53 | 23 |
| 47.49 | 30 |
| 48.16 | 15 |
| 55.83 | 16 |
| 57.01 | 34 |


(3)
Diffraction record for Pm2FeAgO5. The powder XRD pattern is computed, not measured: it uses a DFT-relaxed cell (GGA+U, Alexandria) and copper Kα.

Cell: 6.752 6.752 5.591 Å, 90.00 90.00 90.00°
Fractional coordinates of all 18 atoms:
Pm 0.178 0.322 0.000
Pm 0.322 0.822 0.000
Pm 0.678 0.178 0.000
Pm 0.822 0.678 0.000
Fe 0.000 0.500 0.500
Fe 0.500 0.000 0.500
Ag 0.000 0.000 0.500
Ag 0.500 0.500 0.500
O 0.000 0.000 0.000
O 0.131 0.631 0.257
O 0.131 0.631 0.743
O 0.369 0.131 0.257
O 0.369 0.131 0.743
O 0.500 0.500 0.000
O 0.631 0.869 0.257
O 0.631 0.869 0.743
O 0.869 0.369 0.257
O 0.869 0.369 0.743

Main lines, low angle first (2θ from 10° to 90°):
| 2theta | Rel. int. |
| --- | --- |
| 15.85 | 20 |
| 29.59 | 25 |
| 30.94 | 100 |
| 32.01 | 35 |
| 33.74 | 62 |
| 37.68 | 23 |
| 42.33 | 20 |
| 44.15 | 43 |


(4)
Diffraction record for Pr2FeAgO5. The powder XRD pattern is computed, not measured: it uses a DFT-relaxed cell (GGA+U, Alexandria) and copper Kα.

Cell: 6.876 6.876 5.618 Å, 90.00 90.00 90.00°
Fractional coordinates of all 18 atoms:
Pr 0.178 0.322 0.000
Pr 0.322 0.822 0.000
Pr 0.678 0.178 0.000
Pr 0.822 0.678 0.000
Fe 0.000 0.500 0.500
Fe 0.500 0.000 0.500
Ag 0.000 0.000 0.500
Ag 0.500 0.500 0.500
O 0.000 0.000 0.000
O 0.129 0.629 0.259
O 0.129 0.629 0.741
O 0.371 0.129 0.259
O 0.371 0.129 0.741
O 0.500 0.500 0.000
O 0.629 0.871 0.259
O 0.629 0.871 0.741
O 0.871 0.371 0.259
O 0.871 0.371 0.741

Main lines, low angle first (2θ from 10° to 90°):
| 2theta | Rel. int. |
| --- | --- |
| 29.04 | 23 |
| 30.48 | 100 |
| 31.86 | 33 |
| 33.21 | 60 |
| 36.98 | 25 |
| 43.64 | 41 |
| 55.92 | 25 |
| 57.65 | 30 |


(5)
Diffraction record for FeAgSe2O8. The powder XRD pattern is computed, not measured: it uses a DFT-relaxed cell (GGA+U, Alexandria) and copper Kα.

Cell: 8.367 8.367 8.367 Å, 33.85 33.85 33.85°
Fractional coordinates of all 12 atoms:
Fe 0.000 0.000 0.000
Ag 0.500 0.500 0.500
Se 0.262 0.262 0.262
Se 0.738 0.738 0.738
O 0.037 0.377 0.734
O 0.192 0.192 0.192
O 0.266 0.963 0.623
O 0.377 0.734 0.037
O 0.623 0.266 0.963
O 0.734 0.037 0.377
O 0.808 0.808 0.808
O 0.963 0.623 0.266

Main lines, low angle first (2θ from 10° to 90°):
| 2theta | Rel. int. |
| --- | --- |
| 25.95 | 100 |
| 36.90 | 35 |
| 37.14 | 24 |
| 45.67 | 19 |
| 53.36 | 9 |
| 60.10 | 17 |
| 60.43 | 14 |
| 66.49 | 11 |


(6)
Diffraction record for Sr6Fe5Ag3Se4O10. The powder XRD pattern is computed, not measured: it uses a DFT-relaxed cell (GGA+U, Alexandria) and copper Kα.

Cell: 14.758 14.758 5.741 Å, 90.00 90.00 157.56°
Fractional coordinates of all 28 atoms:
Sr 0.000 0.500 0.253
Sr 0.125 0.370 0.249
Sr 0.370 0.125 0.751
Sr 0.500 0.000 0.747
Sr 0.630 0.875 0.751
Sr 0.875 0.630 0.249
Fe 0.067 0.434 0.750
Fe 0.434 0.067 0.250
Fe 0.500 0.500 0.500
Fe 0.566 0.933 0.250
Fe 0.933 0.566 0.750
Ag 0.000 0.000 0.000
Ag 0.000 0.000 0.500
Ag 0.500 0.500 0.000
Se 0.198 0.323 0.737
Se 0.323 0.198 0.263
Se 0.677 0.802 0.263
Se 0.802 0.677 0.737
O 0.000 0.500 0.747
O 0.173 0.827 0.000
O 0.173 0.827 0.500
O 0.327 0.673 0.000
O 0.327 0.673 0.500
O 0.500 0.000 0.253
O 0.673 0.327 0.000
O 0.673 0.327 0.500
O 0.827 0.173 0.000
O 0.827 0.173 0.500

Main lines, low angle first (2θ from 10° to 90°):
| 2theta | Rel. int. |
| --- | --- |
| 30.86 | 100 |
| 31.78 | 32 |
| 33.58 | 35 |
| 35.61 | 50 |
| 36.42 | 68 |
| 44.64 | 77 |
| 55.25 | 37 |
| 69.60 | 33 |


(7)
Diffraction record for TaFeAgO2. The powder XRD pattern is computed, not measured: it uses a DFT-relaxed cell (GGA+U, Alexandria) and copper Kα.

Cell: 3.878 3.878 5.955 Å, 90.00 90.00 90.00°
Fractional coordinates of all 5 atoms:
Ta 0.000 0.000 0.000
Fe 0.000 0.000 0.500
Ag 0.500 0.500 0.500
O 0.000 0.500 0.000
O 0.500 0.000 0.000

Main lines, low angle first (2θ from 10° to 90°):
| 2theta | Rel. int. |
| --- | --- |
| 22.93 | 23 |
| 27.45 | 100 |
| 30.01 | 55 |
| 32.66 | 60 |
| 44.94 | 50 |
| 46.85 | 31 |
| 55.16 | 29 |
| 56.65 | 34 |


(8)
Diffraction record for V2FeAg3O8. The powder XRD pattern is computed, not measured: it uses a DFT-relaxed cell (GGA+U, Alexandria) and copper Kα.

Cell: 5.621 5.621 14.900 Å, 96.37 96.37 54.14°
Fractional coordinates of all 28 atoms:
V 0.129 0.198 0.399
V 0.198 0.129 0.899
V 0.802 0.871 0.101
V 0.871 0.802 0.601
Fe 0.500 0.500 0.000
Fe 0.500 0.500 0.500
Ag 0.117 0.211 0.151
Ag 0.211 0.117 0.651
Ag 0.473 0.527 0.250
Ag 0.527 0.473 0.750
Ag 0.789 0.883 0.349
Ag 0.883 0.789 0.849
O 0.030 0.291 0.797
O 0.075 0.709 0.026
O 0.186 0.476 0.429
O 0.257 0.647 0.614
O 0.291 0.030 0.297
O 0.291 0.925 0.474
O 0.353 0.743 0.886
O 0.476 0.186 0.929
O 0.524 0.814 0.071
O 0.647 0.257 0.114
O 0.709 0.075 0.526
O 0.709 0.970 0.703
O 0.743 0.353 0.386
O 0.814 0.524 0.571
O 0.925 0.291 0.974
O 0.970 0.709 0.203

Main lines, low angle first (2θ from 10° to 90°):
| 2theta | Rel. int. |
| --- | --- |
| 30.28 | 91 |
| 31.93 | 35 |
| 32.20 | 100 |
| 35.08 | 23 |
| 41.19 | 14 |
| 48.16 | 22 |
| 55.19 | 18 |
| 58.26 | 14 |